# LiV4O10
Theoretical powder XRD pattern, λ = 1.5418 Å (Cu Kα). Input: the PBE+U geometry in the Materials Project.
Lines closer than 0.1° are merged.

```
data_LiV4O10
_chemical_formula_sum 'Li1 V4 O10'
_cell_length_a 5.7656
_cell_length_b 6.5356
_cell_length_c 6.6523
_cell_angle_alpha 77.28
_cell_angle_beta 82.12
_cell_angle_gamma 88.59
_space_group_name_H-M_alt 'P -1'
_space_group_IT_number 2
loop_
_space_group_symop_operation_xyz
'x,y,z'
'-x,-y,-z'
loop_
_atom_site_label
_atom_site_type_symbol
_atom_site_fract_x
_atom_site_fract_y
_atom_site_fract_z
_atom_site_occupancy
Li1 Li 0.0000 0.0000 0.0000 1
V1 V 0.4062 0.6901 0.8433 1
V2 V 0.4379 0.2094 0.7022 1
O1 O 0.1288 0.7315 0.9084 1
O2 O 0.1543 0.1765 0.7172 1
O3 O 0.4352 0.6983 0.5571 1
O4 O 0.4486 0.0430 0.2061 1
O5 O 0.4789 0.3845 0.8812 1
```

Peak list (12 most intense, 10° ≤ 2θ ≤ 90°, by angle)
13.8°, intensity 8.1
15.5°, intensity 100.0
19.3°, intensity 16.8
22.2°, intensity 14.7
27.7°, intensity 8.2
28.0°, intensity 22.8
28.2°, intensity 17.4
30.0°, intensity 7.0
31.3°, intensity 11.0
31.7°, intensity 11.4
32.1°, intensity 12.1
45.7°, intensity 5.3



# MgFe7Ni6O16
Theoretical powder XRD pattern, λ = 1.5418 Å (Cu Kα). Input: the PBE+U geometry in the Materials Project.
Lines closer than 0.1° are merged.

```
data_MgFe7Ni6O16
_chemical_formula_sum 'Mg1 Fe7 Ni6 O16'
_cell_length_a 6.0346
_cell_length_b 6.0464
_cell_length_c 10.4504
_cell_angle_alpha 90.03
_cell_angle_beta 105.53
_cell_angle_gamma 119.76
_space_group_name_H-M_alt 'P 1'
_space_group_IT_number 1
loop_
_space_group_symop_operation_xyz
'x,y,z'
loop_
_atom_site_label
_atom_site_type_symbol
_atom_site_fract_x
_atom_site_fract_y
_atom_site_fract_z
_atom_site_occupancy
Mg1 Mg 0.0000 0.0000 0.0000 1
Fe1 Fe 0.9998 0.2500 0.7402 1
Fe2 Fe 0.4082 0.9563 0.8170 1
Fe3 Fe 0.4510 0.4733 0.4936 1
Fe4 Fe 0.4563 0.9768 0.4982 1
Fe5 Fe 0.5028 0.5029 0.9894 1
Fe6 Fe 0.8749 0.6901 0.7348 1
Fe7 Fe 0.9599 0.4816 0.4861 1
Ni1 Ni 0.4744 0.2295 0.2324 1
Ni2 Ni 0.4755 0.7457 0.2335 1
Ni3 Ni 0.9590 0.2306 0.2297 1
Ni4 Ni 0.9586 0.9778 0.4875 1
Ni5 Ni 0.9761 0.7404 0.2416 1
Ni6 Ni 0.9986 0.5045 0.9974 1
O1 O 0.1779 0.3432 0.5905 1
O2 O 0.1797 0.8360 0.6199 1
O3 O 0.2143 0.5953 0.3676 1
O4 O 0.2261 0.8630 0.1310 1
O5 O 0.2272 0.1179 0.3702 1
O6 O 0.2426 0.3719 0.1171 1
O7 O 0.2552 0.1380 0.8759 1
O8 O 0.2550 0.6234 0.8754 1
O9 O 0.6943 0.8401 0.5964 1
O10 O 0.7072 0.3605 0.5984 1
O11 O 0.7155 0.6021 0.3698 1
O12 O 0.7240 0.1173 0.3605 1
O13 O 0.7405 0.8583 0.1238 1
O14 O 0.7405 0.3888 0.1227 1
O15 O 0.7666 0.6385 0.8933 1
O16 O 0.7840 0.1458 0.8726 1
```

Peak list (12 most intense, 10° ≤ 2θ ≤ 90°, by angle)
34.3°, intensity 24.2
36.1°, intensity 88.8
36.5°, intensity 40.1
36.6°, intensity 39.9
37.9°, intensity 22.3
41.8°, intensity 100.0
42.0°, intensity 99.2
42.7°, intensity 89.2
60.2°, intensity 29.0
61.2°, intensity 26.8
61.3°, intensity 36.6
61.5°, intensity 94.1



# CaTiMnP3O12
Theoretical powder XRD pattern, λ = 1.5418 Å (Cu Kα). Input: the PBE+U geometry in the Materials Project.
Lines closer than 0.1° are merged.

```
data_CaTiMnP3O12
_chemical_formula_sum 'Ca2 Ti2 Mn2 P6 O24'
_cell_length_a 8.6093
_cell_length_b 8.6565
_cell_length_c 8.8134
_cell_angle_alpha 61.56
_cell_angle_beta 60.90
_cell_angle_gamma 60.48
_space_group_name_H-M_alt 'P 1'
_space_group_IT_number 1
loop_
_space_group_symop_operation_xyz
'x,y,z'
loop_
_atom_site_label
_atom_site_type_symbol
_atom_site_fract_x
_atom_site_fract_y
_atom_site_fract_z
_atom_site_occupancy
Ca1 Ca 0.0000 0.0000 0.0000 1
Ca2 Ca 0.4995 0.4998 0.5002 1
Ti1 Ti 0.3496 0.3492 0.9473 1
Ti2 Ti 0.8524 0.8479 0.4474 1
Mn1 Mn 0.1491 0.1433 0.5646 1
Mn2 Mn 0.6397 0.6477 0.0647 1
P1 P 0.0352 0.7423 0.7626 1
P2 P 0.2473 0.5403 0.2558 1
P3 P 0.4542 0.0424 0.7521 1
P4 P 0.5396 0.9560 0.2534 1
P5 P 0.7461 0.4577 0.7592 1
P6 P 0.9590 0.2414 0.2648 1
O1 O 0.0593 0.9064 0.7623 1
O2 O 0.0763 0.7269 0.2541 1
O3 O 0.1255 0.2889 0.0869 1
O4 O 0.2054 0.3845 0.4305 1
O5 O 0.2217 0.5707 0.7600 1
O6 O 0.2672 0.0701 0.7399 1
O7 O 0.2930 0.4981 0.0818 1
O8 O 0.3801 0.9790 0.4306 1
O9 O 0.4175 0.5675 0.2461 1
O10 O 0.4394 0.2301 0.7505 1
O11 O 0.4711 0.8879 0.9286 1
O12 O 0.4986 0.1244 0.0817 1
O13 O 0.5657 0.7698 0.2442 1
O14 O 0.5732 0.4432 0.7580 1
O15 O 0.6253 0.9987 0.5799 1
O16 O 0.7019 0.4899 0.9342 1
O17 O 0.7285 0.9398 0.2526 1
O18 O 0.7719 0.4028 0.2679 1
O19 O 0.7915 0.6245 0.5850 1
O20 O 0.8722 0.6978 0.9353 1
O21 O 0.9113 0.2717 0.7561 1
O22 O 0.9472 0.0688 0.2616 1
O23 O 0.9966 0.1971 0.4365 1
O24 O 0.9975 0.7896 0.5856 1
```

Peak list (12 most intense, 10° ≤ 2θ ≤ 90°, by angle)
20.1°, intensity 12.6
20.5°, intensity 56.4
20.6°, intensity 26.0
23.7°, intensity 27.0
23.7°, intensity 25.9
24.0°, intensity 100.0
28.8°, intensity 15.6
31.8°, intensity 41.0
32.1°, intensity 47.9
32.3°, intensity 15.3
35.8°, intensity 13.9
36.0°, intensity 13.1



# Na2MgNi2O4
Theoretical powder XRD pattern, λ = 1.5418 Å (Cu Kα). Input: the PBE+U geometry in the Materials Project.
Lines closer than 0.1° are merged.

```
data_Na2MgNi2O4
_chemical_formula_sum 'Na2 Mg1 Ni2 O4'
_cell_length_a 3.3470
_cell_length_b 3.3470
_cell_length_c 10.5877
_cell_angle_alpha 90.00
_cell_angle_beta 90.00
_cell_angle_gamma 120.00
_space_group_name_H-M_alt 'P -6 m 2'
_space_group_IT_number 187
_space_group_name_Hall 'P -6 2'
loop_
_atom_site_label
_atom_site_type_symbol
_atom_site_fract_x
_atom_site_fract_y
_atom_site_fract_z
_atom_site_occupancy
Na1 Na 0.0000 0.0000 0.0000 1
Na2 Na 0.3333 0.6667 0.5000 1
Mg1 Mg 0.6667 0.3333 0.5000 1
Ni1 Ni 0.6667 0.3333 0.2264 1
O1 O 0.0000 0.0000 0.3850 1
O2 O 0.3333 0.6667 0.1566 1
```

Peak list (12 most intense, 10° ≤ 2θ ≤ 90°, by angle)
16.7°, intensity 25.8
25.2°, intensity 26.5
30.8°, intensity 47.5
33.9°, intensity 20.9
35.3°, intensity 100.0
40.3°, intensity 61.3
46.5°, intensity 56.4
54.9°, intensity 62.3
61.3°, intensity 14.4
66.1°, intensity 18.6
66.9°, intensity 13.5
70.2°, intensity 26.6



# FeOF
Theoretical powder XRD pattern, λ = 1.5418 Å (Cu Kα). Input: the PBE+U geometry in the Materials Project.
Lines closer than 0.1° are merged.

```
data_FeOF
_chemical_formula_sum 'Fe12 O12 F12'
_cell_length_a 9.4397
_cell_length_b 3.0853
_cell_length_c 14.1694
_cell_angle_alpha 90.00
_cell_angle_beta 90.15
_cell_angle_gamma 90.00
_space_group_name_H-M_alt 'P 1 m 1'
_space_group_IT_number 6
loop_
_space_group_symop_operation_xyz
'x,y,z'
'x,-y,z'
loop_
_atom_site_label
_atom_site_type_symbol
_atom_site_fract_x
_atom_site_fract_y
_atom_site_fract_z
_atom_site_occupancy
Fe1 Fe 0.0000 0.0000 0.0000 1
Fe2 Fe 0.0006 0.0000 0.3324 1
Fe3 Fe 0.0107 0.0000 0.6590 1
Fe4 Fe 0.2571 0.5000 0.1861 1
Fe5 Fe 0.2623 0.5000 0.5182 1
Fe6 Fe 0.2800 0.5000 0.8393 1
Fe7 Fe 0.4940 0.0000 0.6720 1
Fe8 Fe 0.5081 0.0000 0.3278 1
Fe9 Fe 0.5109 0.0000 0.9927 1
Fe10 Fe 0.7575 0.5000 0.1859 1
Fe11 Fe 0.7620 0.5000 0.8490 1
Fe12 Fe 0.7807 0.5000 0.5041 1
O1 O 0.1022 0.5000 0.2743 1
O2 O 0.1054 0.5000 0.6080 1
O3 O 0.3504 0.0000 0.9069 1
O4 O 0.3514 0.0000 0.2372 1
O5 O 0.3622 0.0000 0.5673 1
O6 O 0.4136 0.5000 0.7362 1
O7 O 0.6036 0.5000 0.2767 1
O8 O 0.6040 0.5000 0.9404 1
O9 O 0.8523 0.0000 0.5710 1
O10 O 0.8544 0.0000 0.2321 1
O11 O 0.8610 0.0000 0.9061 1
O12 O 0.9127 0.5000 0.3998 1
F1 F 0.1046 0.5000 0.9352 1
F2 F 0.1573 0.0000 0.7759 1
F3 F 0.1576 0.0000 0.1019 1
F4 F 0.1645 0.0000 0.4406 1
F5 F 0.4066 0.5000 0.4034 1
F6 F 0.4089 0.5000 0.0725 1
F7 F 0.6079 0.5000 0.6048 1
F8 F 0.6536 0.0000 0.1063 1
F9 F 0.6542 0.0000 0.4428 1
F10 F 0.6681 0.0000 0.7689 1
F11 F 0.9038 0.5000 0.0699 1
F12 F 0.9135 0.5000 0.7379 1
```

Peak list (12 most intense, 10° ≤ 2θ ≤ 90°, by angle)
26.7°, intensity 100.0
34.7°, intensity 54.8
38.1°, intensity 7.9
39.8°, intensity 19.0
42.8°, intensity 6.6
52.5°, intensity 59.3
54.9°, intensity 8.2
55.1°, intensity 8.2
60.0°, intensity 9.6
62.2°, intensity 4.2
66.7°, intensity 26.4
66.8°, intensity 6.0



# Li3VPCO7
Theoretical powder XRD pattern, λ = 1.5418 Å (Cu Kα). Input: the PBE+U geometry in the Materials Project.
Lines closer than 0.1° are merged.

```
data_Li3VPCO7
_chemical_formula_sum 'Li12 V4 P4 C4 O28'
_cell_length_a 8.6431
_cell_length_b 6.5087
_cell_length_c 9.7177
_cell_angle_alpha 90.00
_cell_angle_beta 91.98
_cell_angle_gamma 90.00
_space_group_name_H-M_alt 'P 1 21/c 1'
_space_group_IT_number 14
loop_
_space_group_symop_operation_xyz
'x,y,z'
'-x,-y,-z'
'-x,y+1/2,-z+1/2'
'x,-y+1/2,z+1/2'
loop_
_atom_site_label
_atom_site_type_symbol
_atom_site_fract_x
_atom_site_fract_y
_atom_site_fract_z
_atom_site_occupancy
Li1 Li 0.1119 0.2503 0.1161 1
Li2 Li 0.2928 0.0204 0.3801 1
Li3 Li 0.3719 0.7450 0.1145 1
V1 V 0.2482 0.5188 0.3859 1
P1 P 0.4091 0.2428 0.6413 1
C1 C 0.0533 0.7382 0.6339 1
O1 O 0.0756 0.7120 0.5029 1
O2 O 0.0899 0.2316 0.8234 1
O3 O 0.1657 0.7315 0.2208 1
O4 O 0.3146 0.0625 0.5794 1
O5 O 0.3192 0.0596 0.0945 1
O6 O 0.4084 0.2297 0.8023 1
O7 O 0.4204 0.7432 0.9040 1
```

Peak list (12 most intense, 10° ≤ 2θ ≤ 90°, by angle)
10.2°, intensity 27.5
16.4°, intensity 59.3
19.2°, intensity 18.4
19.5°, intensity 43.0
24.8°, intensity 71.9
25.4°, intensity 57.1
27.4°, intensity 19.2
34.5°, intensity 100.0
35.7°, intensity 19.0
37.0°, intensity 27.2
50.7°, intensity 26.2
52.1°, intensity 19.0



# CoAgO3
Theoretical powder XRD pattern, λ = 1.5418 Å (Cu Kα). Input: the PBE+U geometry in the Materials Project.
Lines closer than 0.1° are merged.

```
data_CoAgO3
_chemical_formula_sum 'Co6 Ag6 O18'
_cell_length_a 4.9977
_cell_length_b 4.9977
_cell_length_c 15.6339
_cell_angle_alpha 90.00
_cell_angle_beta 90.00
_cell_angle_gamma 120.00
_space_group_name_H-M_alt 'R -3'
_space_group_IT_number 148
_space_group_name_Hall '-R 3'
loop_
_atom_site_label
_atom_site_type_symbol
_atom_site_fract_x
_atom_site_fract_y
_atom_site_fract_z
_atom_site_occupancy
Co1 Co 0.0000 0.0000 0.1631 1
Ag1 Ag 0.0000 0.0000 0.3622 1
O1 O 0.0082 0.6148 0.4326 1
```

Peak list (12 most intense, 10° ≤ 2θ ≤ 90°, by angle)
21.3°, intensity 13.2
23.5°, intensity 30.2
30.8°, intensity 100.0
35.4°, intensity 14.2
35.9°, intensity 77.8
40.0°, intensity 14.1
45.7°, intensity 10.3
48.1°, intensity 30.3
50.6°, intensity 41.4
51.3°, intensity 13.6
61.4°, intensity 27.2
64.6°, intensity 22.1